Structure and computed powder X-ray diffraction pattern of Al4GaIr (the PBE geometry in Alexandria; Cu Ka).

abc: 8.4800 8.5352 11.8561
angles: 90.00 90.00 90.00
Space group Fddd (No. 70, origin choice 2)
Inequivalent atoms, fractional coordinates:
Al 0.1169 0.3661 0.2496
Ga 0.1250 0.1250 0.6250
Ir 0.1250 0.1250 0.1250

Most intense lines, 10 to 90 degrees two-theta, low angle first:
| 2theta | I_rel |
| --- | --- |
| 16.5 | 61 |
| 25.7 | 98 |
| 25.8 | 98 |
| 29.7 | 23 |
| 42.4 | 26 |
| 42.6 | 25 |
| 42.8 | 100 |
| 50.3 | 32 |
| 50.5 | 31 |
| 51.0 | 31 |
| 61.7 | 17 |
| 77.8 | 17 |

***

Structure and computed powder X-ray diffraction pattern of Ba3UAgS6 (the PBE geometry in Alexandria; Cu Ka).

abc: 12.3326 12.3326 14.0560
angles: 90.00 90.00 120.00
Space group R-3c (No. 167, hexagonal axes)
Inequivalent atoms, fractional coordinates:
Ba 0.0000 0.3725 0.2500
U 0.0000 0.0000 0.0000
Ag 0.0000 0.0000 0.2500
S 0.0253 0.1835 0.3907

Most intense lines, 10 to 90 degrees two-theta, low angle first:
| 2theta | I_rel |
| --- | --- |
| 14.4 | 32 |
| 15.1 | 31 |
| 23.9 | 46 |
| 25.0 | 100 |
| 30.5 | 36 |
| 30.8 | 23 |
| 32.8 | 21 |
| 33.8 | 46 |
| 34.8 | 41 |
| 44.1 | 17 |
| 45.1 | 37 |
| 66.8 | 20 |

***

Structure and computed powder X-ray diffraction pattern of Ge2Se (the PBE geometry in Alexandria; Cu Ka).

abc: 6.2818 3.9442 6.5992
angles: 90.00 96.33 90.00
Space group Pm (No. 6)
Inequivalent atoms, fractional coordinates:
Ge 0.0000 0.0000 0.0000
Ge 0.1088 0.5000 0.8148
Ge 0.2232 0.0000 0.3515
Ge 0.5953 0.0000 0.0449
Se 0.5013 0.5000 0.7888
Se 0.9719 0.5000 0.4503

Most intense lines, 10 to 90 degrees two-theta, low angle first:
| 2theta | I_rel |
| --- | --- |
| 14.2 | 41 |
| 26.4 | 100 |
| 28.6 | 42 |
| 29.3 | 45 |
| 30.3 | 33 |
| 30.8 | 34 |
| 32.2 | 47 |
| 35.6 | 32 |
| 38.1 | 61 |
| 46.0 | 39 |
| 47.6 | 47 |
| 48.3 | 32 |